Entry 1:
Diffraction record for CaB2H2. The powder diffraction line list is computed, not measured: it uses a DFT-relaxed cell (GGA-PBE, the Materials Project) and λ = 1.5418 Å (Cu Kα).
Lines closer than 0.1° are merged.

Most intense lines, 10° ≤ 2θ ≤ 80°, sorted by position:
| 2θ/deg | I/Imax | hkl |
| --- | --- | --- |
| 22.9 | 51 | 0 0 2 |
| 23.3 | 100 | 0 2 1 |
| 29.7 | 21 | 1 1 0 |
| 31.9 | 64 | 1 1 1 |
| 37.8 | 38 | 1 1 2 |
| 40.5 | 43 | 0 2 3 |
| 41.2 | 17 | 0 4 0 |
| 41.8 | 35 | 1 3 0 |
| 46.3 | 30 | 1 1 3 |
| 48.2 | 34 | 1 3 2 |

Atomic structure:
Lattice parameters (Å, degrees): 3.207 8.760 7.763 90.00 90.00 90.00
Space group Cmc2_1 (No. 36)
One atom of each set of equivalent atoms:
Ca: 0.000 0.152 0.000 x4
B: 0.000 0.129 0.354 x4
B: 0.000 0.407 0.787 x4
H: 0.000 0.175 0.508 x4
H: 0.000 0.474 0.645 x4

***

Entry 2:
Diffraction record for KAgP2O6. The powder diffraction line list is computed, not measured: it uses a DFT-relaxed cell (GGA-PBE, the Materials Project) and λ = 1.5418 Å (Cu Kα).
Lines closer than 0.1° are merged.

Most intense lines, 10° ≤ 2θ ≤ 80°, sorted by position:
| 2θ/deg | I/Imax | hkl |
| --- | --- | --- |
| 13.4 | 26 | 0 1 1 |
| 19.1 | 31 | 1 1 -1 |
| 26.9 | 49 | 0 2 2 |
| 27.8 | 100 | 1 3 1 |
| 29.1 | 55 | 2 0 0 |
| 29.9 | 31 | 1 2 -2 |
| 31.3 | 35 | 2 1 -1 |
| 36.1 | 25 | 0 1 3 |
| 38.0 | 22 | 1 4 -2 |
| 44.6 | 21 | 1 3 3 |

Atomic structure:
Lattice parameters (Å, degrees): 6.154 13.374 7.623 90.00 94.35 90.00
Space group P2_1/c (No. 14)
One atom of each set of equivalent atoms:
K: 0.200 0.169 0.268 x4
Ag: 0.313 0.028 0.697 x4
P: 0.186 0.632 0.849 x4
P: 0.348 0.674 0.494 x4
O: 0.039 0.151 0.594 x4
O: 0.178 0.671 0.647 x4
O: 0.237 0.622 0.336 x4
O: 0.286 0.529 0.864 x4
O: 0.361 0.706 0.953 x4
O: 0.425 0.147 0.938 x4

***

Entry 3:
Diffraction record for NaB15. The powder diffraction line list is computed, not measured: it uses a DFT-relaxed cell (GGA-PBE, the Materials Project) and λ = 1.5418 Å (Cu Kα).
Lines closer than 0.1° are merged.

Most intense lines, 10° ≤ 2θ ≤ 80°, sorted by position:
| 2θ/deg | I/Imax | hkl |
| --- | --- | --- |
| 18.5 | 20 | 1 0 1 |
| 25.4 | 42 | 1 2 1 |
| 30.6 | 20 | 2 0 0 |
| 35.3 | 100 | 2 2 0 |
| 37.1 | 24 | 1 3 2 |
| 39.7 | 80 | 1 2 3 |
| 41.1 | 24 | 0 4 2 |
| 42.0 | 24 | 2 3 1 |
| 46.7 | 26 | 1 1 4 |
| 70.1 | 51 | 2 3 5 |

Atomic structure:
Lattice parameters (Å, degrees): 5.847 10.301 8.417 90.00 90.00 90.00
Space group Imma (No. 74)
One atom of each set of equivalent atoms:
Na: 0.000 0.250 0.161 x4
B: 0.000 0.101 0.653 x8
B: 0.000 0.145 0.894 x8
B: 0.000 0.165 0.454 x8
B: 0.000 0.250 0.753 x4
B: 0.161 0.048 0.335 x16
B: 0.248 0.081 0.537 x16

***

Entry 4:
Diffraction record for Na2O. The powder diffraction line list is computed, not measured: it uses a DFT-relaxed cell (GGA-PBE, the Materials Project) and λ = 1.5418 Å (Cu Kα).
Lines closer than 0.1° are merged.

Most intense lines, 10° ≤ 2θ ≤ 80°, sorted by position:
| 2θ/deg | I/Imax | hkl |
| --- | --- | --- |
| 24.0 | 43 | 1 1 0 |
| 34.3 | 100 | 1 1 1 |
| 37.7 | 13 | 1 2 0 |
| 39.0 | 28 | 2 1 0 |
| 45.2 | 29 | 1 2 1 |
| 46.4 | 13 | 2 1 1 |
| 49.1 | 15 | 2 2 0 |
| 49.4 | 19 | 0 0 2 |
| 56.9 | 16 | 0 3 1 |
| 59.8 | 19 | 3 0 1 |

Atomic structure:
Lattice parameters (Å, degrees): 5.112 5.404 3.689 90.00 90.00 90.00
Space group Pnnm (No. 58)
One atom of each set of equivalent atoms:
Na: 0.175 0.204 0.000 x4
O: 0.000 0.000 0.500 x2

***

What did the second record say?
Diffraction record for KAgP2O6. The powder diffraction line list is computed, not measured: it uses a DFT-relaxed cell (GGA-PBE, the Materials Project) and λ = 1.5418 Å (Cu Kα).
Lines closer than 0.1° are merged.

Most intense lines, 10° ≤ 2θ ≤ 80°, sorted by position:
| 2θ/deg | I/Imax | hkl |
| --- | --- | --- |
| 13.4 | 26 | 0 1 1 |
| 19.1 | 31 | 1 1 -1 |
| 26.9 | 49 | 0 2 2 |
| 27.8 | 100 | 1 3 1 |
| 29.1 | 55 | 2 0 0 |
| 29.9 | 31 | 1 2 -2 |
| 31.3 | 35 | 2 1 -1 |
| 36.1 | 25 | 0 1 3 |
| 38.0 | 22 | 1 4 -2 |
| 44.6 | 21 | 1 3 3 |

Atomic structure:
Lattice parameters (Å, degrees): 6.154 13.374 7.623 90.00 94.35 90.00
Space group P2_1/c (No. 14)
One atom of each set of equivalent atoms:
K: 0.200 0.169 0.268 x4
Ag: 0.313 0.028 0.697 x4
P: 0.186 0.632 0.849 x4
P: 0.348 0.674 0.494 x4
O: 0.039 0.151 0.594 x4
O: 0.178 0.671 0.647 x4
O: 0.237 0.622 0.336 x4
O: 0.286 0.529 0.864 x4
O: 0.361 0.706 0.953 x4
O: 0.425 0.147 0.938 x4